[1]
Computed XRD peak list
Compound: KTaCd2
Radiation: a wavelength of 1.5418 Å
Structure: a structure optimized by DFT (GGA-PBE)
Lines closer than 0.1° are merged.

Structural model:
```
KTaCd2
1.0
2.850 0.000 0.000
0.000 4.472 0.000
0.000 0.000 7.992
K Ta Cd
1 1 2
Direct
0.000 0.000 0.000
0.000 0.000 0.500
0.500 0.500 0.312
0.500 0.500 0.688
```

Largest 12 diffraction maxima, in order of rising 2θ, 10 to 90 degrees two-theta:
2θ/deg	I (rel.)
11.07	100
29.99	61
37.42	46
38.81	30
39.14	20
39.37	24
40.33	18
46.67	15
57.21	19
63.35	12
70.77	11
71.42	10

=====

[2]
Computed XRD peak list
Compound: KCd3Te3
Radiation: a wavelength of 1.5418 Å
Structure: a structure optimized by DFT (GGA-PBE)
Lines closer than 0.1° are merged.

Structural model:
```
KCd3Te3
1.0
4.309 2.488 8.234
-4.309 2.488 8.234
0.000 -4.976 8.234
K Cd Te
2 6 6
Direct
0.166 0.166 0.166
0.834 0.834 0.834
0.053 0.377 0.711
0.289 0.947 0.623
0.377 0.711 0.053
0.623 0.289 0.947
0.711 0.053 0.377
0.947 0.623 0.289
0.070 0.744 0.411
0.256 0.589 0.930
0.411 0.070 0.744
0.589 0.930 0.256
0.744 0.411 0.070
0.930 0.256 0.589
```

Largest 12 diffraction maxima, in order of rising 2θ, 10 to 90 degrees two-theta:
2θ/deg	I (rel.)
10.75	55
20.61	73
21.59	33
23.30	43
30.02	59
36.10	100
38.91	62
42.45	33
49.45	37
54.12	23
66.79	24
72.23	23

=====

[3]
Computed XRD peak list
Compound: K14Cd2Te9
Radiation: a wavelength of 1.5418 Å
Structure: a structure optimized by DFT (GGA-PBE)
Lines closer than 0.1° are merged.

Structural model:
```
K14Cd2Te9
1.0
9.794 0.000 0.000
-4.897 8.482 0.000
0.000 0.000 13.741
K Cd Te
14 2 9
Direct
0.000 0.000 0.248
0.000 0.000 0.752
0.026 0.671 0.408
0.064 0.379 0.095
0.315 0.936 0.095
0.329 0.355 0.408
0.355 0.026 0.592
0.379 0.315 0.905
0.621 0.685 0.095
0.645 0.974 0.408
0.671 0.645 0.592
0.685 0.064 0.905
0.936 0.621 0.905
0.974 0.329 0.592
0.333 0.667 0.763
0.667 0.333 0.237
0.000 0.000 0.500
0.066 0.368 0.836
0.301 0.934 0.836
0.333 0.667 0.547
0.368 0.301 0.164
0.632 0.699 0.836
0.667 0.333 0.453
0.699 0.066 0.164
0.934 0.632 0.164
```

Largest 12 diffraction maxima, in order of rising 2θ, 10 to 90 degrees two-theta:
2θ/deg	I (rel.)
12.26	69
19.24	100
19.38	41
27.83	15
28.59	25
31.65	72
31.82	76
34.14	15
37.35	36
38.84	18
39.06	16
45.49	18

=====

[4]
Computed XRD peak list
Compound: K2Cd3Te4
Radiation: a wavelength of 1.5418 Å
Structure: a structure optimized by DFT (GGA-PBE)
Lines closer than 0.1° are merged.

Structural model:
```
K2Cd3Te4
1.0
15.297 0.000 0.000
0.000 11.576 0.000
0.000 0.000 7.440
K Cd Te
8 12 16
Direct
0.000 0.000 0.000
0.000 0.500 0.000
0.035 0.250 0.479
0.465 0.750 0.979
0.500 0.000 0.500
0.500 0.500 0.500
0.535 0.250 0.021
0.965 0.750 0.521
0.202 0.750 0.229
0.244 0.098 0.159
0.244 0.402 0.159
0.256 0.598 0.659
0.256 0.902 0.659
0.298 0.250 0.729
0.702 0.750 0.271
0.744 0.098 0.341
0.744 0.402 0.341
0.756 0.598 0.841
0.756 0.902 0.841
0.798 0.250 0.771
0.133 0.533 0.386
0.133 0.967 0.386
0.135 0.250 0.924
0.144 0.750 0.868
0.356 0.250 0.368
0.365 0.750 0.424
0.367 0.033 0.886
0.367 0.467 0.886
0.633 0.533 0.114
0.633 0.967 0.114
0.635 0.250 0.576
0.644 0.750 0.632
0.856 0.250 0.132
0.865 0.750 0.076
0.867 0.033 0.614
0.867 0.467 0.614
```

Largest 12 diffraction maxima, in order of rising 2θ, 10 to 90 degrees two-theta:
2θ/deg	I (rel.)
11.57	100
20.29	30
22.67	48
26.19	99
26.66	45
28.55	35
29.73	53
35.17	33
38.09	47
39.92	48
40.52	26
41.32	39

=====

[5]
Computed XRD peak list
Compound: K2TmCd2Te4
Radiation: a wavelength of 1.5418 Å
Structure: a structure optimized by DFT (GGA-PBE)
Lines closer than 0.1° are merged.

Structural model:
```
K2TmCd2Te4
1.0
8.714 -2.216 0.000
8.714 2.216 0.000
-3.656 0.000 8.027
K Tm Cd Te
2 1 2 4
Direct
0.126 0.126 0.071
0.874 0.874 0.929
0.000 0.000 0.500
0.310 0.310 0.488
0.690 0.690 0.512
0.190 0.190 0.730
0.482 0.482 0.730
0.518 0.518 0.270
0.810 0.810 0.270
```

Largest 12 diffraction maxima, in order of rising 2θ, 10 to 90 degrees two-theta:
2θ/deg	I (rel.)
11.02	100
22.44	30
25.61	23
28.78	21
28.96	32
29.58	98
31.21	21
33.91	22
36.81	23
39.04	35
40.71	28
42.00	40

=====

[6]
Computed XRD peak list
Compound: K2Tl2Cd
Radiation: a wavelength of 1.5418 Å
Structure: a structure optimized by DFT (GGA-PBE)
Lines closer than 0.1° are merged.

Structural model:
```
K2Tl2Cd
1.0
5.862 -3.507 0.000
5.862 3.507 0.000
-1.866 0.000 9.284
K Tl Cd
4 4 2
Direct
0.035 0.269 0.156
0.269 0.035 0.656
0.731 0.965 0.344
0.965 0.731 0.844
0.249 0.501 0.504
0.499 0.751 0.996
0.501 0.249 0.004
0.751 0.499 0.496
0.362 0.638 0.250
0.638 0.362 0.750
```

Largest 12 diffraction maxima, in order of rising 2θ, 10 to 90 degrees two-theta:
2θ/deg	I (rel.)
14.79	100
18.44	58
19.12	31
29.78	38
30.00	35
30.42	40
31.14	57
32.35	79
33.28	37
38.80	21
39.68	32
53.70	23